Record 1
W5O12F: computed powder XRD pattern (Cu Kα, 1.54184 Å), based on a structure optimized by DFT (PBE+U).

Top 10 peaks for 10 to 90 degrees two-theta, by intensity:
two_theta  d/Å  Rel. int.
28.2  3.162  100
23.0  3.875  99
36.7  2.450  68
27.8  3.207  44
55.6  1.652  31
36.4  2.471  29
46.9  1.937  20
55.2  1.664  20
49.5  1.843  18
55.4  1.658  13

Atomic structure:
a b c (Å): 18.171 3.875 6.415
angles (deg): 90.00 90.00 90.00
Sites, in units of the cell vectors:
1 W 0.062 0.000 0.197
2 W 0.148 0.000 0.732
3 W 0.250 0.000 0.279
4 W 0.352 0.000 0.732
5 W 0.438 0.000 0.197
6 W 0.562 0.000 0.803
7 W 0.648 0.000 0.268
8 W 0.750 0.000 0.721
9 W 0.852 0.000 0.268
10 W 0.938 0.000 0.803
11 O 0.048 0.000 0.875
12 O 0.059 0.500 0.201
13 O 0.140 0.000 0.410
14 O 0.147 0.500 0.728
15 O 0.169 0.000 0.047
16 O 0.250 0.000 0.609
17 O 0.250 0.500 0.278
18 O 0.331 0.000 0.047
19 O 0.353 0.500 0.728
20 O 0.360 0.000 0.410
21 O 0.441 0.500 0.201
22 O 0.452 0.000 0.875
23 O 0.548 0.000 0.125
24 O 0.559 0.500 0.799
25 O 0.640 0.000 0.590
26 O 0.647 0.500 0.272
27 O 0.669 0.000 0.953
28 O 0.750 0.000 0.391
29 O 0.750 0.500 0.722
30 O 0.831 0.000 0.953
31 O 0.853 0.500 0.272
32 O 0.860 0.000 0.590
33 O 0.941 0.500 0.799
34 O 0.952 0.000 0.125
35 F 0.000 0.000 0.500
36 F 0.500 0.000 0.500



Record 2
Li3Mn2Si2O8: computed powder XRD pattern (Cu Kα, 1.54184 Å), based on a structure optimized by DFT (PBE+U).

Top 10 peaks for 10 to 90 degrees two-theta, by intensity:
two_theta  d/Å  Rel. int.
21.9  4.056  100
21.1  4.216  95
34.5  2.601  93
21.6  4.109  92
22.1  4.022  90
34.0  2.635  72
32.8  2.734  56
24.9  3.580  45
32.0  2.799  38
55.8  1.647  37

Atomic structure:
a b c (Å): 6.594 7.168 7.678
angles (deg): 89.18 88.51 87.58
Sites, in units of the cell vectors:
1 Li 0.000 0.000 0.000
2 Li 0.000 0.500 0.499
3 Li 0.507 0.002 0.380
4 Li 0.507 0.502 0.880
5 Li 0.747 0.192 0.680
6 Li 0.748 0.692 0.180
7 Mn 0.018 0.000 0.378
8 Mn 0.018 0.500 0.877
9 Mn 0.485 0.521 0.509
10 Mn 0.486 0.021 0.009
11 Si 0.251 0.169 0.682
12 Si 0.252 0.669 0.183
13 Si 0.755 0.325 0.187
14 Si 0.757 0.824 0.687
15 O 0.031 0.289 0.687
16 O 0.032 0.789 0.189
17 O 0.259 0.041 0.866
18 O 0.259 0.539 0.365
19 O 0.270 0.042 0.511
20 O 0.270 0.543 0.010
21 O 0.446 0.312 0.687
22 O 0.447 0.812 0.187
23 O 0.566 0.180 0.186
24 O 0.568 0.679 0.686
25 O 0.730 0.463 0.363
26 O 0.731 0.963 0.863
27 O 0.747 0.472 0.020
28 O 0.747 0.972 0.521
29 O 0.964 0.198 0.184
30 O 0.966 0.698 0.684



Record 3
Li2MnCr3O8: computed powder XRD pattern (Cu Kα, 1.54184 Å), based on a structure optimized by DFT (PBE+U).

Top 10 peaks for 10 to 90 degrees two-theta, by intensity:
two_theta  d/Å  Rel. int.
18.0  4.930  100
43.0  2.101  57
35.7  2.517  32
63.0  1.475  15
56.5  1.628  15
62.0  1.498  14
66.1  1.413  13
47.0  1.933  8
37.2  2.414  7
80.8  1.190  5

Atomic structure:
a b c (Å): 5.901 5.901 5.995
angles (deg): 119.54 119.54 59.93
Sites, in units of the cell vectors:
1 Li 0.000 0.500 0.000
2 Li 0.500 0.000 0.000
3 Mn 0.000 0.000 0.500
4 Cr 0.000 0.500 0.500
5 Cr 0.500 0.000 0.500
6 Cr 0.500 0.500 0.500
7 O 0.229 0.229 0.710
8 O 0.240 0.742 0.704
9 O 0.258 0.760 0.296
10 O 0.271 0.271 0.290
11 O 0.729 0.729 0.710
12 O 0.742 0.240 0.704
13 O 0.760 0.258 0.296
14 O 0.771 0.771 0.290